# 1
Ti5CuS10: calculated powder diffraction line list (Cu Ka), based on a GGA-PBE-relaxed structure.
Neutral-atom scattering factors, no anomalous dispersion.

```
Ti5CuS10
1.0
5.8933 0.0000 0.0000
0.0071 6.8104 0.0000
2.9373 2.5618 7.3658
Ti Cu S
5 1 10
direct
0.0000 0.0000 0.0000
0.1945 0.3988 0.6008
0.4021 0.8023 0.2050
0.5979 0.1977 0.7950
0.8055 0.6012 0.3992
0.5000 0.5000 0.0000
0.0848 0.7462 0.4983
0.1170 0.6539 0.1010
0.2837 0.1471 0.0989
0.3127 0.0544 0.7027
0.4840 0.5479 0.6963
0.5160 0.4521 0.3037
0.6873 0.9456 0.2973
0.7163 0.8529 0.9011
0.8830 0.3461 0.8990
0.9152 0.2538 0.5017
```

Principal peaks in the range 15 to 90 degrees two-theta, sorted by position:
- 15.0 deg, d = 5.899 Å, rel. 42.9
- 16.2 deg, d = 5.472 Å, rel. 8.6
- 30.3 deg, d = 2.946 Å, rel. 12.5
- 34.0 deg, d = 2.636 Å, rel. 100.0
- 43.4 deg, d = 2.084 Å, rel. 97.7
- 53.9 deg, d = 1.701 Å, rel. 44.4
- 56.2 deg, d = 1.635 Å, rel. 25.2
- 63.0 deg, d = 1.475 Å, rel. 9.6
- 71.6 deg, d = 1.318 Å, rel. 14.9
- 87.6 deg, d = 1.114 Å, rel. 21.2

---

# 2
Ti2CuS4: calculated powder diffraction line list (Cu Ka), based on a GGA-PBE-relaxed structure.
Neutral-atom scattering factors, no anomalous dispersion.

```
Ti2CuS4
1.0
5.6734 0.0000 0.0000
0.0000 3.3948 0.0000
-0.1121 0.0000 6.1929
Ti Cu S
2 1 4
direct
0.0000 0.0000 0.0000
0.5000 0.5000 0.5000
0.0000 0.5000 0.5000
0.2440 0.5000 0.1665
0.2572 0.0000 0.6685
0.7428 0.0000 0.3315
0.7560 0.5000 0.8335
```

Principal peaks in the range 15 to 90 degrees two-theta, sorted by position:
- 15.6 deg, d = 5.672 Å, rel. 47.3
- 30.0 deg, d = 2.977 Å, rel. 40.2
- 32.7 deg, d = 2.739 Å, rel. 56.2
- 34.1 deg, d = 2.627 Å, rel. 100.0
- 42.8 deg, d = 2.111 Å, rel. 40.6
- 43.7 deg, d = 2.073 Å, rel. 37.6
- 43.9 deg, d = 2.062 Å, rel. 76.5
- 44.3 deg, d = 2.045 Å, rel. 69.8
- 51.8 deg, d = 1.764 Å, rel. 70.2
- 54.0 deg, d = 1.697 Å, rel. 30.7

---

# 3
TiCuS4: calculated powder diffraction line list (Cu Ka), based on a GGA-PBE-relaxed structure.
Neutral-atom scattering factors, no anomalous dispersion.

```
TiCuS4
1.0
-3.5112 3.5134 4.8388
3.5112 -3.5134 4.8388
3.5112 3.5134 -4.8388
Ti Cu S
2 2 8
direct
0.0000 0.0000 0.0000
0.5000 0.0000 0.5000
0.3779 0.6279 0.7500
0.6221 0.3721 0.2500
0.2338 0.2421 0.9917
0.2438 0.2312 0.4874
0.2438 0.7565 0.0126
0.2497 0.7579 0.4917
0.7503 0.2421 0.5083
0.7562 0.2435 0.9874
0.7562 0.7688 0.5126
0.7662 0.7579 0.0083
```

Principal peaks in the range 15 to 90 degrees two-theta, sorted by position:
- 15.6 deg, d = 5.686 Å, rel. 42.6
- 25.4 deg, d = 3.511 Å, rel. 49.2
- 25.7 deg, d = 3.466 Å, rel. 64.4
- 29.9 deg, d = 2.988 Å, rel. 100.0
- 30.5 deg, d = 2.931 Å, rel. 45.4
- 31.5 deg, d = 2.842 Å, rel. 56.2
- 36.2 deg, d = 2.484 Å, rel. 30.7
- 47.6 deg, d = 1.910 Å, rel. 38.8
- 52.1 deg, d = 1.756 Å, rel. 50.6
- 52.8 deg, d = 1.733 Å, rel. 95.7